(1)
Diffraction record for Ho6Te3Pd. The powder X-ray diffraction pattern is calculated, not measured: it uses the GGA-PBE geometry in Alexandria and CuKα.
Neutral-atom scattering factors, no anomalous dispersion.

Principal peaks in the range 2θ = 15–90°, sorted by position:
hkl	2θ/deg	I (rel.)
1 1 -2	26.53	30
0 1 3	30.98	31
4 0 -2	31.91	54
2 1 2	33.25	100
2 1 -4	36.61	63
0 2 0	45.55	37

Structure:
abc: 11.378 3.983 13.063
angles: 90.00 105.81 90.00
Space group P2_1/m (No. 11)
Asymmetric unit:
Ho 0.023 0.250 0.347 [2 per cell]
Ho 0.070 0.250 0.887 [2 per cell]
Ho 0.272 0.750 0.327 [2 per cell]
Ho 0.295 0.750 0.762 [2 per cell]
Ho 0.403 0.250 0.560 [2 per cell]
Ho 0.421 0.750 0.130 [2 per cell]
Te 0.146 0.250 0.144 [2 per cell]
Te 0.170 0.750 0.523 [2 per cell]
Te 0.345 0.250 0.945 [2 per cell]
Pd 0.459 0.250 0.298 [2 per cell]

---

(2)
Diffraction record for Ho4Te3Pd. The powder X-ray diffraction pattern is calculated, not measured: it uses the GGA-PBE geometry in Alexandria and CuKα.
Neutral-atom scattering factors, no anomalous dispersion.

Principal peaks in the range 2θ = 15–90°, sorted by position:
hkl	2θ/deg	I (rel.)
0 4 0	29.21	52
2 0 1	29.43	100
2 4 1	41.94	74
0 0 2	43.31	18
4 4 0	51.01	18
0 4 2	53.10	20

Structure:
abc: 8.835 12.231 4.178
angles: 90.00 90.00 90.00
Space group Cmmm (No. 65)
Asymmetric unit:
Ho 0.000 0.237 0.000 [4 per cell]
Ho 0.216 0.000 0.500 [4 per cell]
Te 0.000 0.500 0.000 [2 per cell]
Te 0.250 0.250 0.500 [4 per cell]
Pd 0.000 0.000 0.000 [2 per cell]

---

(3)
Diffraction record for HoTh2Pd6. The powder X-ray diffraction pattern is calculated, not measured: it uses the GGA-PBE geometry in Alexandria and CuKα.
Neutral-atom scattering factors, no anomalous dispersion.

Principal peaks in the range 2θ = 15–90°, sorted by position:
hkl	2θ/deg	I (rel.)
1 3 1	33.15	100
2 0 1	35.21	62
0 6 0	36.11	41
3 3 0	41.63	53
2 6 1	51.32	42
3 3 2	67.71	25

Structure:
abc: 7.231 14.926 3.594
angles: 90.00 90.00 90.00
Space group Cmmm (No. 65)
Asymmetric unit:
Ho 0.000 0.000 0.000 [2 per cell]
Th 0.000 0.340 0.000 [4 per cell]
Pd 0.183 0.167 0.500 [8 per cell]
Pd 0.184 0.500 0.500 [4 per cell]

---

(4)
Diffraction record for HoTlPd. The powder X-ray diffraction pattern is calculated, not measured: it uses the GGA-PBE geometry in Alexandria and CuKα.
Neutral-atom scattering factors, no anomalous dispersion.

Principal peaks in the range 2θ = 15–90°, sorted by position:
hkl	2θ/deg	I (rel.)
3 1 1	32.96	100
1 1 2	33.67	23
4 0 2	34.49	27
4 1 0	35.46	25
2 1 2	35.56	24
3 0 3	39.41	27

Structure:
abc: 13.788 3.729 7.907
angles: 90.00 90.00 90.00
Space group Pmma (No. 51)
Asymmetric unit:
Ho 0.051 0.000 0.221 [4 per cell]
Ho 0.250 0.000 0.835 [2 per cell]
Tl 0.110 0.500 0.570 [4 per cell]
Tl 0.250 0.500 0.177 [2 per cell]
Pd 0.094 0.500 0.933 [4 per cell]
Pd 0.250 0.000 0.447 [2 per cell]